Computed powder diffractogram
Compound: Al2Ag5
Radiation: Cu Kα, 1.54184 Å
Structure: a crystal structure in Alexandria, relaxed with PBE
Intensities are scaled so that the largest is 100.

Main lines, in order of falling intensity (5 to 70 degrees two-theta):
| d_spacing | I_rel |
| --- | --- |
| 2.342 | 100 |
| 2.184 | 42 |
| 2.898 | 18 |
| 1.387 | 16 |
| 1.544 | 13 |
| 1.796 | 11 |

Structural model:
a b c (Å): 12.765 12.765 12.765
angles (deg): 166.10 166.10 19.71
Atoms (fractional coordinates):
1 Al 0.144 0.144 0.000
2 Al 0.856 0.856 0.000
3 Ag 0.000 0.000 0.000
4 Ag 0.289 0.289 0.000
5 Ag 0.422 0.422 0.000
6 Ag 0.578 0.578 0.000
7 Ag 0.711 0.711 0.000

Computed powder diffractogram
Compound: La3PtBr3
Radiation: Cu Kα, 1.54184 Å
Structure: a crystal structure in Alexandria, relaxed with PBE
Intensities are scaled so that the largest is 100.

Main lines, in order of falling intensity (5 to 70 degrees two-theta):
| d_spacing | I_rel |
| --- | --- |
| 3.089 | 100 |
| 2.184 | 73 |
| 8.736 | 62 |
| 1.381 | 29 |
| 1.783 | 25 |
| 2.423 | 15 |

Structural model:
a b c (Å): 10.700 10.700 10.700
angles (deg): 109.47 109.47 109.47
Atoms (fractional coordinates):
1 La 0.014 0.027 0.264
2 La 0.014 0.486 0.750
3 La 0.027 0.264 0.014
4 La 0.236 0.264 0.750
5 La 0.236 0.473 0.486
6 La 0.264 0.014 0.027
7 La 0.264 0.750 0.236
8 La 0.473 0.486 0.236
9 La 0.486 0.236 0.473
10 La 0.486 0.750 0.014
11 La 0.750 0.014 0.486
12 La 0.750 0.236 0.264
13 Pt 0.000 0.250 0.500
14 Pt 0.250 0.250 0.250
15 Pt 0.250 0.500 0.000
16 Pt 0.500 0.000 0.250
17 Br 0.250 0.755 0.745
18 Br 0.250 0.995 0.505
19 Br 0.505 0.250 0.995
20 Br 0.505 0.755 0.509
21 Br 0.509 0.505 0.755
22 Br 0.745 0.250 0.755
23 Br 0.745 0.995 0.991
24 Br 0.755 0.509 0.505
25 Br 0.755 0.745 0.250
26 Br 0.991 0.745 0.995
27 Br 0.995 0.505 0.250
28 Br 0.995 0.991 0.745

Computed powder diffractogram
Compound: RbPdC3
Radiation: Cu Kα, 1.54184 Å
Structure: a crystal structure in Alexandria, relaxed with PBE
Intensities are scaled so that the largest is 100.

Main lines, in order of falling intensity (5 to 70 degrees two-theta):
| d_spacing | I_rel |
| --- | --- |
| 3.033 | 100 |
| 1.751 | 40 |
| 2.145 | 28 |
| 1.516 | 17 |
| 1.356 | 17 |
| 4.289 | 4 |

Structural model:
a b c (Å): 4.289 4.289 4.289
angles (deg): 90.00 90.00 90.00
Atoms (fractional coordinates):
1 Rb 0.000 0.000 0.000
2 Pd 0.500 0.500 0.500
3 C 0.000 0.500 0.500
4 C 0.500 0.000 0.500
5 C 0.500 0.500 0.000

Computed powder diffractogram
Compound: ErAg2Te3
Radiation: Cu Kα, 1.54184 Å
Structure: a crystal structure in Alexandria, relaxed with PBE
Intensities are scaled so that the largest is 100.

Main lines, in order of falling intensity (5 to 70 degrees two-theta):
| d_spacing | I_rel |
| --- | --- |
| 7.003 | 100 |
| 2.618 | 54 |
| 2.508 | 41 |
| 2.607 | 40 |
| 2.114 | 32 |
| 3.915 | 30 |

Structural model:
a b c (Å): 7.131 4.227 12.704
angles (deg): 90.00 100.88 90.00
Atoms (fractional coordinates):
1 Er 0.017 0.250 0.292
2 Er 0.983 0.750 0.708
3 Ag 0.011 0.250 0.916
4 Ag 0.145 0.250 0.554
5 Ag 0.855 0.750 0.446
6 Ag 0.989 0.750 0.084
7 Te 0.257 0.250 0.123
8 Te 0.269 0.750 0.433
9 Te 0.286 0.250 0.777
10 Te 0.714 0.750 0.223
11 Te 0.731 0.250 0.567
12 Te 0.743 0.750 0.877

Computed powder diffractogram
Compound: Ho4TeP3
Radiation: Cu Kα, 1.54184 Å
Structure: a crystal structure in Alexandria, relaxed with PBE
Intensities are scaled so that the largest is 100.

Main lines, in order of falling intensity (5 to 70 degrees two-theta):
| d_spacing | I_rel |
| --- | --- |
| 2.764 | 100 |
| 2.940 | 78 |
| 2.026 | 59 |
| 3.396 | 30 |
| 1.634 | 21 |
| 2.008 | 20 |

Structural model:
a b c (Å): 4.052 4.052 26.924
angles (deg): 90.00 90.00 120.00
Atoms (fractional coordinates):
1 Ho 0.000 0.000 0.172
2 Ho 0.000 0.000 0.328
3 Ho 0.000 0.000 0.672
4 Ho 0.000 0.000 0.828
5 Ho 0.333 0.667 0.057
6 Ho 0.333 0.667 0.443
7 Ho 0.667 0.333 0.557
8 Ho 0.667 0.333 0.943
9 Te 0.333 0.667 0.250
10 Te 0.667 0.333 0.750
11 P 0.000 0.000 0.000
12 P 0.000 0.000 0.500
13 P 0.333 0.667 0.619
14 P 0.333 0.667 0.881
15 P 0.667 0.333 0.119
16 P 0.667 0.333 0.381

Computed powder diffractogram
Compound: K15In
Radiation: Cu Kα, 1.54184 Å
Structure: a crystal structure in Alexandria, relaxed with PBE
Intensities are scaled so that the largest is 100.

Main lines, in order of falling intensity (5 to 70 degrees two-theta):
| d_spacing | I_rel |
| --- | --- |
| 3.471 | 100 |
| 3.938 | 25 |
| 3.674 | 24 |
| 1.933 | 20 |
| 2.274 | 19 |
| 2.080 | 17 |

Structural model:
a b c (Å): 9.095 9.095 14.695
angles (deg): 90.00 90.00 120.00
Atoms (fractional coordinates):
1 K 0.000 0.000 0.000
2 K 0.010 0.505 0.500
3 K 0.315 0.158 0.273
4 K 0.315 0.158 0.727
5 K 0.333 0.667 0.240
6 K 0.333 0.667 0.760
7 K 0.495 0.505 0.500
8 K 0.495 0.990 0.500
9 K 0.504 0.009 0.000
10 K 0.504 0.496 0.000
11 K 0.842 0.158 0.273
12 K 0.842 0.158 0.727
13 K 0.842 0.685 0.273
14 K 0.842 0.685 0.727
15 K 0.991 0.496 0.000
16 In 0.000 0.000 0.500